[1]
Diffraction record for Cu2Ag3. The powder diffraction line list is theoretical, not measured: it uses the GGA-PBE geometry in OQMD and Cu Kα (weighted mean of Kα1 and Kα2).

Atomic structure:
Unit cell a=10.1384 b=10.1384 c=3.9789 alpha=90.00 beta=90.00 gamma=157.58
Fractional coordinates of all 10 atoms:
Cu  0.1048  0.8952  0.0000
Cu  0.2015  0.7985  0.5000
Cu  0.7985  0.2015  0.5000
Cu  0.8952  0.1048  0.0000
Ag  0.0000  0.0000  0.5000
Ag  0.2989  0.7011  0.0000
Ag  0.3960  0.6040  0.5000
Ag  0.5000  0.5000  0.0000
Ag  0.6040  0.3960  0.5000
Ag  0.7011  0.2989  0.0000

Largest 8 diffraction maxima, low angle first, 2θ = 5–70°:
d [Å]	Rel. int.
3.867	2
3.694	2
3.388	2
2.290	100
1.989	32
1.971	16
1.407	10
1.400	19



[2]
Diffraction record for TbGdH2O4. The powder diffraction line list is theoretical, not measured: it uses the GGA-PBE geometry in OQMD and Cu Kα (weighted mean of Kα1 and Kα2).

Atomic structure:
Unit cell a=4.3287 b=3.6227 c=5.9704 alpha=90.00 beta=109.74 gamma=90.00
Fractional coordinates of all 8 atoms:
Tb  0.0000  0.0000  0.0000
Gd  0.6742  0.5000  0.3829
H  0.3278  0.5000  0.7884
H  0.3464  0.0000  0.5945
O  0.0925  0.5000  0.7572
O  0.1057  0.5000  0.2462
O  0.5677  0.0000  0.1348
O  0.5819  0.0000  0.6267

Largest 8 diffraction maxima, low angle first, 2θ = 5–70°:
d [Å]	Rel. int.
5.620	32
4.003	45
3.045	100
2.870	49
2.796	32
2.707	35
2.686	53
2.220	33



[3]
Diffraction record for CsRb2Sb2Au3. The powder diffraction line list is theoretical, not measured: it uses the GGA-PBE geometry in OQMD and Cu Kα (weighted mean of Kα1 and Kα2).

Atomic structure:
Unit cell a=8.2509 b=8.2509 c=8.2509 alpha=46.88 beta=46.88 gamma=46.88
Fractional coordinates of all 8 atoms:
Cs  0.0000  0.0000  0.0000
Rb  0.4186  0.4186  0.4186
Rb  0.5814  0.5814  0.5814
Sb  0.2535  0.2535  0.2535
Sb  0.7465  0.7465  0.7465
Au  0.0000  0.0000  0.5000
Au  0.0000  0.5000  0.0000
Au  0.5000  0.0000  0.0000

Largest 8 diffraction maxima, low angle first, 2θ = 5–70°:
d [Å]	Rel. int.
7.329	100
3.478	56
2.995	43
2.819	62
2.751	91
2.525	94
2.445	59
1.976	43



[4]
Diffraction record for DyHg3S4Br. The powder diffraction line list is theoretical, not measured: it uses the GGA-PBE geometry in OQMD and Cu Kα (weighted mean of Kα1 and Kα2).

Atomic structure:
Unit cell a=7.9630 b=7.9630 c=8.2019 alpha=90.00 beta=90.00 gamma=120.00
Fractional coordinates of all 18 atoms:
Dy  0.0000  0.0000  0.0000
Dy  0.0000  0.0000  0.5000
Hg  0.0144  0.5072  0.1746
Hg  0.4928  0.5072  0.1746
Hg  0.4928  0.9856  0.1746
Hg  0.5072  0.0144  0.6746
Hg  0.5072  0.4928  0.6746
Hg  0.9856  0.4928  0.6746
S  0.1407  0.2815  0.7431
S  0.1407  0.8593  0.7431
S  0.2815  0.1407  0.2431
S  0.3333  0.6667  0.0194
S  0.6667  0.3333  0.5194
S  0.7185  0.8593  0.7431
S  0.8593  0.1407  0.2431
S  0.8593  0.7185  0.2431
Br  0.3333  0.6667  0.4446
Br  0.6667  0.3333  0.9446

Largest 8 diffraction maxima, low angle first, 2θ = 5–70°:
d [Å]	Rel. int.
4.101	29
3.525	28
3.448	100
2.857	58
2.639	69
2.200	23
2.005	23
1.991	45



[5]
Diffraction record for Ba2Li3IrN4. The powder diffraction line list is theoretical, not measured: it uses the GGA-PBE geometry in OQMD and Cu Kα (weighted mean of Kα1 and Kα2).

Atomic structure:
Unit cell a=6.1403 b=6.1403 c=10.8074 alpha=115.22 beta=115.22 gamma=56.38
Fractional coordinates of all 20 atoms:
Ba  0.0498  0.6448  0.8924
Ba  0.3552  0.9502  0.6076
Ba  0.6448  0.0498  0.3924
Ba  0.9502  0.3552  0.1076
Li  0.1348  0.5152  0.4592
Li  0.3856  0.6144  0.7500
Li  0.4848  0.8652  0.0408
Li  0.5152  0.1348  0.9592
Li  0.6144  0.3856  0.2500
Li  0.8652  0.4848  0.5408
Ir  0.1534  0.8466  0.2500
Ir  0.8466  0.1534  0.7500
N  0.0242  0.2193  0.3790
N  0.2193  0.0242  0.8790
N  0.2773  0.5789  0.3415
N  0.4211  0.7227  0.1585
N  0.5789  0.2773  0.8415
N  0.7227  0.4211  0.6585
N  0.7807  0.9758  0.1210
N  0.9758  0.7807  0.6210

Largest 8 diffraction maxima, low angle first, 2θ = 5–70°:
d [Å]	Rel. int.
4.932	86
4.733	20
3.030	100
2.748	33
2.704	40
2.557	24
2.400	25
2.135	17



[6]
Diffraction record for CdPPbF. The powder diffraction line list is theoretical, not measured: it uses the GGA-PBE geometry in OQMD and Cu Kα (weighted mean of Kα1 and Kα2).

Atomic structure:
Unit cell a=11.0109 b=11.0109 c=11.0109 alpha=22.27 beta=22.27 gamma=22.27
Fractional coordinates of all 8 atoms:
Cd  0.1965  0.1965  0.1965
Cd  0.8035  0.8035  0.8035
P  0.1092  0.1092  0.1092
P  0.8908  0.8908  0.8908
Pb  0.3865  0.3865  0.3865
Pb  0.6135  0.6135  0.6135
F  0.3068  0.3068  0.3068
F  0.6932  0.6932  0.6932

Largest 8 diffraction maxima, low angle first, 2θ = 5–70°:
d [Å]	Rel. int.
3.659	21
3.583	28
3.349	69
3.197	100
2.424	64
2.126	71
1.667	24
1.360	26



[7]
Diffraction record for CsEr2CuTe3Se. The powder diffraction line list is theoretical, not measured: it uses the GGA-PBE geometry in OQMD and Cu Kα (weighted mean of Kα1 and Kα2).

Atomic structure:
Unit cell a=7.9148 b=7.9148 c=15.4836 alpha=90.00 beta=90.00 gamma=148.46
Fractional coordinates of all 16 atoms:
Cs  0.1172  0.8828  0.7500
Cs  0.8828  0.1172  0.2500
Er  0.3772  0.6228  0.5606
Er  0.3772  0.6228  0.9394
Er  0.6228  0.3772  0.0606
Er  0.6228  0.3772  0.4394
Cu  0.1680  0.8320  0.2500
Cu  0.8320  0.1680  0.7500
Te  0.2566  0.7434  0.1036
Te  0.2566  0.7434  0.3964
Te  0.4293  0.5707  0.7500
Te  0.5707  0.4293  0.2500
Te  0.7434  0.2566  0.6036
Te  0.7434  0.2566  0.8964
Se  0.0000  0.0000  0.0000
Se  0.0000  0.0000  0.5000

Largest 8 diffraction maxima, low angle first, 2θ = 5–70°:
d [Å]	Rel. int.
4.273	30
3.451	34
3.211	100
3.022	71
2.482	33
2.253	32
2.240	45
2.151	36



[8]
Diffraction record for BaZrIn. The powder diffraction line list is theoretical, not measured: it uses the GGA-PBE geometry in OQMD and Cu Kα (weighted mean of Kα1 and Kα2).

Atomic structure:
Unit cell a=5.2256 b=5.2256 c=5.2256 alpha=60.00 beta=60.00 gamma=60.00
Fractional coordinates of all 3 atoms:
Ba  0.0000  0.0000  0.0000
Zr  0.2500  0.2500  0.2500
In  0.5000  0.5000  0.5000

Largest 8 diffraction maxima, low angle first, 2θ = 5–70°:
d [Å]	Rel. int.
4.267	19
3.695	25
2.613	100
2.228	10
2.133	8
1.848	18
1.652	10
1.509	36



[9]
Diffraction record for TlCu8. The powder diffraction line list is theoretical, not measured: it uses the GGA-PBE geometry in OQMD and Cu Kα (weighted mean of Kα1 and Kα2).

Atomic structure:
Unit cell a=4.3784 b=4.3784 c=27.6974 alpha=90.49 beta=90.49 gamma=47.82
Fractional coordinates of all 18 atoms:
Tl  0.0485  0.0485  0.2243
Tl  0.9515  0.9515  0.7757
Cu  0.0508  0.0508  0.5441
Cu  0.1494  0.1494  0.6325
Cu  0.1509  0.1509  0.3376
Cu  0.2468  0.2468  0.7198
Cu  0.2491  0.2491  0.4264
Cu  0.3508  0.3508  0.5148
Cu  0.4500  0.4500  0.6029
Cu  0.4508  0.4508  0.3085
Cu  0.5492  0.5492  0.6915
Cu  0.5500  0.5500  0.3971
Cu  0.6492  0.6492  0.4852
Cu  0.7509  0.7509  0.5736
Cu  0.7532  0.7532  0.2802
Cu  0.8491  0.8491  0.6624
Cu  0.8506  0.8506  0.3675
Cu  0.9492  0.9492  0.4559

Largest 8 diffraction maxima, low angle first, 2θ = 5–70°:
d [Å]	Rel. int.
13.848	100
6.924	15
3.158	16
2.229	29
2.103	37
2.082	52
2.043	22
1.775	17



[10]
Diffraction record for Zr5P7Pd9. The powder diffraction line list is theoretical, not measured: it uses the GGA-PBE geometry in OQMD and Cu Kα (weighted mean of Kα1 and Kα2).

Atomic structure:
Unit cell a=3.8528 b=13.6744 c=13.6744 alpha=152.34 beta=90.00 gamma=90.00
Fractional coordinates of all 21 atoms:
Zr  0.0000  0.0000  0.0000
Zr  0.0000  0.2955  0.4729
Zr  0.0000  0.4729  0.2955
Zr  0.5000  0.0319  0.5752
Zr  0.5000  0.5752  0.0319
P  0.0000  0.3039  0.8756
P  0.0000  0.5991  0.5991
P  0.0000  0.8756  0.3039
P  0.5000  0.0300  0.1674
P  0.5000  0.1674  0.0300
P  0.5000  0.4520  0.7395
P  0.5000  0.7395  0.4520
Pd  0.0000  0.2784  0.6713
Pd  0.0000  0.6713  0.2784
Pd  0.0000  0.7113  0.9861
Pd  0.0000  0.9861  0.7113
Pd  0.5000  0.0277  0.3461
Pd  0.5000  0.3461  0.0277
Pd  0.5000  0.3548  0.3548
Pd  0.5000  0.6742  0.7905
Pd  0.5000  0.7905  0.6742

Largest 8 diffraction maxima, low angle first, 2θ = 5–70°:
d [Å]	Rel. int.
2.496	100
2.333	39
2.265	18
2.187	14
2.116	15
1.926	23
1.467	15
1.425	12



[11]
Diffraction record for ZnCu2SiSe2S2. The powder diffraction line list is theoretical, not measured: it uses the GGA-PBE geometry in OQMD and Cu Kα (weighted mean of Kα1 and Kα2).

Atomic structure:
Unit cell a=6.6494 b=6.6185 c=5.4162 alpha=66.21 beta=65.61 gamma=48.19
Fractional coordinates of all 8 atoms:
Zn  0.0000  0.0000  0.0000
Cu  0.2681  0.2681  0.2319
Cu  0.7681  0.7681  0.7319
Si  0.4997  0.4997  0.5003
Se  0.3935  0.8674  0.1326
Se  0.8674  0.3935  0.6065
S  0.1486  0.6128  0.8514
S  0.6128  0.1486  0.3872

Largest 8 diffraction maxima, low angle first, 2θ = 5–70°:
d [Å]	Rel. int.
3.142	90
3.113	100
1.928	22
1.915	86
1.902	21
1.639	27
1.627	23
1.354	19



[12]
Diffraction record for HoEr2Fe2Co6Ni. The powder diffraction line list is theoretical, not measured: it uses the GGA-PBE geometry in OQMD and Cu Kα (weighted mean of Kα1 and Kα2).

Atomic structure:
Unit cell a=8.5182 b=8.5182 c=8.5182 alpha=33.91 beta=33.91 gamma=33.91
Fractional coordinates of all 12 atoms:
Ho  0.0000  0.0000  0.0000
Er  0.1401  0.1401  0.1401
Er  0.8599  0.8599  0.8599
Fe  0.3342  0.3342  0.3342
Fe  0.6658  0.6658  0.6658
Co  0.0791  0.5824  0.5824
Co  0.4176  0.4176  0.9209
Co  0.4176  0.9209  0.4176
Co  0.5824  0.0791  0.5824
Co  0.5824  0.5824  0.0791
Co  0.9209  0.4176  0.4176
Ni  0.5000  0.5000  0.5000

Largest 8 diffraction maxima, low angle first, 2θ = 5–70°:
d [Å]	Rel. int.
2.686	54
2.484	59
2.465	45
2.143	41
2.112	100
1.470	17
1.431	16
1.351	22



[13]
Diffraction record for Cu9Ag. The powder diffraction line list is theoretical, not measured: it uses the GGA-PBE geometry in OQMD and Cu Kα (weighted mean of Kα1 and Kα2).

Atomic structure:
Unit cell a=10.6504 b=10.6504 c=4.4744 alpha=94.62 beta=94.62 gamma=14.21
Fractional coordinates of all 10 atoms:
Cu  0.0000  0.0000  0.0000
Cu  0.1056  0.1056  0.7068
Cu  0.2010  0.2010  0.3996
Cu  0.2982  0.2982  0.0988
Cu  0.3969  0.3969  0.8046
Cu  0.6031  0.6031  0.1954
Cu  0.7018  0.7018  0.9012
Cu  0.7990  0.7990  0.6004
Cu  0.8944  0.8944  0.2932
Ag  0.5000  0.5000  0.5000

Largest 8 diffraction maxima, low angle first, 2θ = 5–70°:
d [Å]	Rel. int.
10.534	3
3.511	1
2.633	2
2.133	100
2.116	49
2.107	47
1.848	62
1.817	29